# 1
Computed powder diffractogram of Gd3ReO8 for Cu Kα (λ = 1.5418 Å), from DFT lattice parameters and positions (GGA-PBE).

Structure:
a = 7.3684 Å, b = 6.1091 Å, c = 14.7282 Å
α = 90.00°, β = 111.37°, γ = 90.00°
Positions (direct):
Gd 0.0954 0.2400 0.2014
Gd 0.0954 0.2600 0.7014
Gd 0.1601 0.1999 0.4453
Gd 0.1601 0.3001 0.9453
Gd 0.3929 0.6896 0.3325
Gd 0.3929 0.8104 0.8325
Gd 0.6071 0.1896 0.1675
Gd 0.6071 0.3104 0.6675
Gd 0.8399 0.6999 0.0547
Gd 0.8399 0.8001 0.5547
Gd 0.9046 0.7400 0.2986
Gd 0.9046 0.7600 0.7986
Re 0.3214 0.7455 0.0902
Re 0.3214 0.7545 0.5902
Re 0.6786 0.2455 0.4098
Re 0.6786 0.2545 0.9098
O 0.0875 0.6957 0.9810
O 0.0875 0.8043 0.4810
O 0.1474 0.0296 0.8412
O 0.1474 0.4704 0.3412
O 0.1686 0.6479 0.1695
O 0.1686 0.8521 0.6695
O 0.1855 0.5295 0.8269
O 0.1855 0.9705 0.3269
O 0.2490 0.0426 0.0963
O 0.2490 0.4574 0.5963
O 0.3787 0.0527 0.5886
O 0.3787 0.4473 0.0886
O 0.4685 0.2063 0.7878
O 0.4685 0.2937 0.2878
O 0.4743 0.6971 0.5200
O 0.4743 0.8029 0.0200
O 0.5257 0.1971 0.9800
O 0.5257 0.3029 0.4800
O 0.5315 0.7063 0.7122
O 0.5315 0.7937 0.2122
O 0.6213 0.5527 0.9114
O 0.6213 0.9473 0.4114
O 0.7510 0.5426 0.4037
O 0.7510 0.9574 0.9037
O 0.8145 0.0295 0.6731
O 0.8145 0.4705 0.1731
O 0.8314 0.1479 0.3305
O 0.8314 0.3521 0.8305
O 0.8526 0.5296 0.6588
O 0.8526 0.9704 0.1588
O 0.9125 0.1957 0.5190
O 0.9125 0.3043 0.0190

Main lines, by angle (10 to 80 degrees two-theta):
Position (°2θ), I_rel
24.4, 102
28.5, 225
29.2, 300
29.4, 163
29.9, 1000
41.9, 116
43.6, 134
49.1, 69
52.2, 176
53.4, 165
56.1, 96
58.9, 74

---

# 2
Computed powder diffractogram of Gd2S3O12 for Cu Kα (λ = 1.5418 Å), from DFT lattice parameters and positions (GGA-PBE).

Structure:
a = 6.4739 Å, b = 6.5768 Å, c = 6.8586 Å
α = 64.33°, β = 75.19°, γ = 74.25°
Positions (direct):
Gd 0.0000 0.0000 0.0000
Gd 0.2328 0.6192 0.6126
S 0.4197 0.1100 0.0943
S 0.5230 0.3548 0.1991
S 0.8422 0.4970 0.4936
O 0.2060 0.9567 0.6751
O 0.2797 0.9411 0.2509
O 0.2905 0.2559 0.9121
O 0.4071 0.3394 0.4157
O 0.4676 0.5690 0.0186
O 0.6071 0.6037 0.5492
O 0.6324 0.9977 0.0153
O 0.7522 0.2426 0.1958
O 0.9405 0.3861 0.7113
O 0.9686 0.7068 0.3692
O 0.9840 0.9131 0.7081
O 0.9848 0.6975 0.9086

Main lines, by angle (10 to 80 degrees two-theta):
Position (°2θ), I_rel
14.4, 740
16.4, 1000
18.8, 677
18.9, 744
24.9, 967
25.1, 641
28.6, 278
29.3, 278
30.3, 278
30.4, 398
31.8, 217
40.4, 312

---

# 3
Computed powder diffractogram of Gd2S2O for Cu Kα (λ = 1.5418 Å), from DFT lattice parameters and positions (GGA-PBE).

Structure:
a = 8.3779 Å, b = 7.0299 Å, c = 6.9413 Å
α = 90.00°, β = 99.05°, γ = 90.00°
Positions (direct):
Gd 0.0776 0.1403 0.3171
Gd 0.0776 0.3597 0.8171
Gd 0.3622 0.5547 0.2496
Gd 0.3622 0.9453 0.7496
Gd 0.6378 0.0547 0.2504
Gd 0.6378 0.4453 0.7504
Gd 0.9224 0.6403 0.1829
Gd 0.9224 0.8597 0.6829
S 0.1785 0.6388 0.5712
S 0.1785 0.8612 0.0712
S 0.4233 0.2243 0.4702
S 0.4233 0.2757 0.9702
S 0.5767 0.7243 0.0298
S 0.5767 0.7757 0.5298
S 0.8215 0.1388 0.9288
S 0.8215 0.3612 0.4288
O 0.1174 0.0872 0.6492
O 0.1174 0.4128 0.1492
O 0.8826 0.5872 0.8508
O 0.8826 0.9128 0.3508

Main lines, by angle (10 to 80 degrees two-theta):
Position (°2θ), I_rel
20.0, 328
25.0, 252
26.0, 410
26.6, 549
28.5, 665
29.8, 1000
38.5, 268
38.8, 262
41.3, 244
44.4, 212
50.3, 216
54.6, 225

---

# 4
Computed powder diffractogram of Gd2ZnTe2S2O14 for Cu Kα (λ = 1.5418 Å), from DFT lattice parameters and positions (GGA-PBE).

Structure:
a = 5.3499 Å, b = 7.9922 Å, c = 8.2419 Å
α = 63.95°, β = 73.59°, γ = 85.81°
Positions (direct):
Gd 0.0840 0.2526 0.0157
Gd 0.9160 0.7474 0.9843
Zn 0.0000 0.0000 0.5000
Te 0.4794 0.7311 0.6592
Te 0.5206 0.2689 0.3408
S 0.2370 0.7539 0.2503
S 0.7630 0.2461 0.7497
O 0.1003 0.5951 0.2563
O 0.1386 0.7722 0.4282
O 0.1795 0.9235 0.0889
O 0.2478 0.5644 0.8919
O 0.2496 0.9265 0.6648
O 0.2794 0.1938 0.2507
O 0.4781 0.2710 0.7850
O 0.5219 0.7290 0.2150
O 0.7206 0.8062 0.7493
O 0.7504 0.0735 0.3352
O 0.7522 0.4356 0.1081
O 0.8204 0.0765 0.9111
O 0.8614 0.2278 0.5718
O 0.8997 0.4049 0.7437

Main lines, by angle (10 to 80 degrees two-theta):
Position (°2θ), I_rel
13.2, 670
24.1, 532
24.4, 791
24.8, 1000
26.2, 444
27.1, 373
29.7, 676
30.1, 376
33.2, 369
34.5, 461
34.8, 432
35.1, 383

---

# 5
Computed powder diffractogram of GdYScSbO7 for Cu Kα (λ = 1.5418 Å), from DFT lattice parameters and positions (GGA-PBE).

Structure:
a = 7.4070 Å, b = 7.4070 Å, c = 7.4070 Å
α = 120.28°, β = 119.41°, γ = 90.27°
Positions (direct):
Gd 0.0000 0.0000 0.0000
Gd 0.5000 0.0000 0.5000
Y 0.5000 0.0000 0.0000
Y 0.5000 0.5000 0.5000
Sc 0.0000 0.0000 0.5000
Sc 0.0000 0.5000 0.0000
Sb 0.0000 0.5000 0.5000
Sb 0.5000 0.5000 0.0000
O 0.0967 0.4258 0.2704
O 0.0967 0.8263 0.6709
O 0.0977 0.8477 0.2500
O 0.3231 0.5731 0.7500
O 0.3446 0.1737 0.7704
O 0.3446 0.5742 0.1709
O 0.3814 0.1314 0.2500
O 0.6186 0.8686 0.7500
O 0.6554 0.4258 0.8291
O 0.6554 0.8263 0.2296
O 0.6769 0.4269 0.2500
O 0.9023 0.1523 0.7500
O 0.9033 0.1737 0.3291
O 0.9033 0.5742 0.7296

Main lines, by angle (10 to 80 degrees two-theta):
Position (°2θ), I_rel
17.0, 213
29.4, 983
29.7, 1000
34.2, 380
34.3, 188
48.7, 178
49.2, 655
49.4, 154
58.1, 286
58.5, 410
58.6, 138
79.6, 115

---

# 6
Computed powder diffractogram of GdSc3O for Cu Kα (λ = 1.5418 Å), from DFT lattice parameters and positions (GGA-PBE).

Structure:
a = 4.6468 Å, b = 4.6468 Å, c = 4.6468 Å
α = 90.00°, β = 90.00°, γ = 90.00°
Positions (direct):
Gd 0.0000 0.0000 0.0000
Sc 0.0000 0.5000 0.5000
Sc 0.5000 0.0000 0.5000
Sc 0.5000 0.5000 0.0000
O 0.5000 0.5000 0.5000

Main lines, by angle (10 to 80 degrees two-theta):
Position (°2θ), I_rel
19.1, 320
27.1, 554
33.4, 1000
38.8, 620
43.6, 178
48.0, 236
56.0, 400
59.7, 96
63.3, 102
66.8, 380
70.2, 130
76.7, 117

---

# 7
Computed powder diffractogram of Gd4TiSe4O4 for Cu Kα (λ = 1.5418 Å), from DFT lattice parameters and positions (GGA-PBE).

Structure:
a = 8.2159 Å, b = 8.2159 Å, c = 9.7819 Å
α = 117.24°, β = 117.24°, γ = 26.56°
Positions (direct):
Gd 0.0247 0.0247 0.3307
Gd 0.2770 0.2770 0.6741
Gd 0.7230 0.7230 0.3259
Gd 0.9753 0.9753 0.6693
Ti 0.5000 0.5000 0.0000
Se 0.1211 0.1211 0.0171
Se 0.3840 0.3840 0.3681
Se 0.6160 0.6160 0.6319
Se 0.8789 0.8789 0.9829
O 0.1826 0.1826 0.4102
O 0.4488 0.4488 0.7793
O 0.5512 0.5512 0.2207
O 0.8174 0.8174 0.5898

Main lines, by angle (10 to 80 degrees two-theta):
Position (°2θ), I_rel
10.2, 442
11.9, 214
31.1, 638
31.3, 1000
33.7, 191
34.5, 206
35.0, 747
36.7, 188
48.2, 236
53.0, 201
58.5, 217
60.2, 243

---

# 8
Computed powder diffractogram of GdSiO2 for Cu Kα (λ = 1.5418 Å), from DFT lattice parameters and positions (GGA-PBE).

Structure:
a = 2.9237 Å, b = 2.9237 Å, c = 21.5873 Å
α = 90.00°, β = 90.00°, γ = 120.00°
Positions (direct):
Gd 0.0000 0.0000 0.0000
Gd 0.3333 0.6667 0.6667
Gd 0.6667 0.3333 0.3333
Si 0.0000 0.0000 0.5000
Si 0.3333 0.6667 0.1667
Si 0.6667 0.3333 0.8333
O 0.0000 0.0000 0.1259
O 0.0000 0.0000 0.8741
O 0.3333 0.6667 0.5407
O 0.3333 0.6667 0.7926
O 0.6667 0.3333 0.2074
O 0.6667 0.3333 0.4593

Main lines, by angle (10 to 80 degrees two-theta):
Position (°2θ), I_rel
12.3, 1000
24.7, 775
35.7, 582
36.4, 823
37.5, 167
39.3, 455
41.3, 191
46.4, 277
49.4, 467
56.0, 234
63.7, 210
69.4, 253

---

# 9
Computed powder diffractogram of Gd3TaO7 for Cu Kα (λ = 1.5418 Å), from DFT lattice parameters and positions (GGA-PBE).

Structure:
a = 6.4598 Å, b = 6.5705 Å, c = 7.6785 Å
α = 73.21°, β = 89.80°, γ = 82.73°
Positions (direct):
Gd 0.0456 0.0072 0.2503
Gd 0.2373 0.5434 0.1093
Gd 0.2393 0.5350 0.6165
Gd 0.7607 0.4650 0.3835
Gd 0.7627 0.4566 0.8907
Gd 0.9544 0.9928 0.7497
Ta 0.5000 0.0000 0.0000
Ta 0.5000 0.0000 0.5000
O 0.0419 0.6376 0.8410
O 0.0579 0.6511 0.3356
O 0.2107 0.9301 0.5499
O 0.2111 0.9315 0.9838
O 0.4203 0.0338 0.2409
O 0.4213 0.3203 0.4443
O 0.4238 0.3263 0.8983
O 0.5762 0.6737 0.1017
O 0.5787 0.6797 0.5557
O 0.5797 0.9662 0.7591
O 0.7889 0.0685 0.0162
O 0.7893 0.0699 0.4501
O 0.9421 0.3489 0.6644
O 0.9581 0.3624 0.1590

Main lines, by angle (10 to 80 degrees two-theta):
Position (°2θ), I_rel
28.4, 510
28.6, 1000
29.6, 456
33.1, 226
33.5, 233
33.6, 242
47.1, 130
47.3, 311
48.4, 133
48.6, 134
56.2, 129
56.4, 137